(1)
Calculated powder diffraction line list of PaV for Cu Kα (λ = 1.5418 Å), from a crystal structure in the Materials Project, relaxed with PBE.
Neutral-atom scattering factors, no anomalous dispersion.

The 8 most intense peaks (2θ = 10–80°), by angle:
two_theta	I/Imax	hkl
18.88	68	1 0 0
33.64	46	0 1 1
33.90	24	0 0 2
38.31	30	2 0 0
38.86	100	1 1 1
39.09	47	1 0 2
51.89	28	2 1 1
73.93	32	2 1 3

Atomic structure:
```
data_PaV
_chemical_formula_sum 'Pa2 V2'
_symmetry_space_group_name_H-M 'A m m 2'
_symmetry_Int_Tables_number 38
_symmetry_space_group_name_Hall 'A 2 -2'
_cell_length_a 4.6991
_cell_length_b 3.0838
_cell_length_c 5.2891
_cell_angle_alpha 90.00
_cell_angle_beta 90.00
_cell_angle_gamma 90.00
loop_
_atom_site_label
_atom_site_type_symbol
_atom_site_fract_x
_atom_site_fract_y
_atom_site_fract_z
_atom_site_occupancy
Pa1 Pa 0.0000 0.0000 0.0000 1
V1 V 0.5000 0.0000 0.6577 1
```

***

(2)
Calculated powder diffraction line list of Rh2O3 for Cu Kα (λ = 1.5418 Å), from a crystal structure in the Materials Project, relaxed with PBE.
Neutral-atom scattering factors, no anomalous dispersion.

The 8 most intense peaks (2θ = 10–80°), by angle:
two_theta	I/Imax	hkl
32.85	27	0 0 2
33.94	100	2 1 1
34.09	25	0 2 0
48.07	23	0 2 2
59.34	18	2 1 3
60.62	10	4 0 2
60.92	25	2 3 1
61.41	10	4 2 0

Atomic structure:
```
data_Rh2O3
_chemical_formula_sum 'Rh8 O12'
_symmetry_space_group_name_H-M 'P b c n'
_symmetry_Int_Tables_number 60
_symmetry_space_group_name_Hall '-P 2n 2ab'
_cell_length_a 7.3758
_cell_length_b 5.2600
_cell_length_c 5.4530
_cell_angle_alpha 90.00
_cell_angle_beta 90.00
_cell_angle_gamma 90.00
loop_
_atom_site_label
_atom_site_type_symbol
_atom_site_fract_x
_atom_site_fract_y
_atom_site_fract_z
_atom_site_occupancy
Rh1 Rh 0.1073 0.2503 0.0301 1
O1 O 0.0000 0.0501 0.7500 1
O2 O 0.1511 0.3928 0.3880 1
```